Simulated powder XRD pattern of Na4VBi3Se8 for a wavelength of 1.5418 Å, from DFT lattice parameters and positions (PBE).

Principal peaks in the range 2θ = 10–90°, most intense first:
d = 2.968 Å, I 100
d = 7.044 Å, I 58
d = 2.127 Å, I 37
d = 2.072 Å, I 35
d = 3.538 Å, I 24
d = 1.699 Å, I 18

Crystal structure
Lattice parameters (Å, degrees): 8.2868 8.2868 21.1329 90.00 90.00 120.00
Space group R-3m (No. 166, hexagonal axes)
Unique sites:
Na  0.0000  0.0000  0.0000 (multiplicity 3)
Na  0.0000  0.5000  0.0000 (multiplicity 9)
V  0.0000  0.0000  0.5000 (multiplicity 3)
Bi  0.0000  0.5000  0.5000 (multiplicity 9)
Se  0.0000  0.0000  0.2483 (multiplicity 6)
Se  0.0296  0.5148  0.2401 (multiplicity 18)